Calculated powder X-ray diffraction pattern
Compound: TaAlCoOs
Radiation: λ = 1.5418 Å (Cu Kα)
Structure: the GGA-PBE geometry in OQMD
Peak positions follow from Bragg's law for the DFT cell and can differ from measured ones.

Structural model:
```
data_TaAlCoOs
_chemical_formula_sum 'Ta4 Al4 Co4 Os4'
_space_group_name_H-M_alt 'F -4 3 m'
_space_group_IT_number 216
_space_group_name_Hall 'F -4 2 3'
_cell_length_a 6.1131
_cell_length_b 6.1131
_cell_length_c 6.1131
_cell_angle_alpha 90.00
_cell_angle_beta 90.00
_cell_angle_gamma 90.00
loop_
_atom_site_label
_atom_site_fract_x
_atom_site_fract_y
_atom_site_fract_z
_atom_site_occupancy
Ta1 0.0000 0.0000 0.0000 1
Al1 0.0000 0.0000 0.5000 1
Co1 0.2500 0.2500 0.7500 1
Os1 0.2500 0.2500 0.2500 1
```

Principal peaks in the range 2θ from 10° to 90°, in order of rising 2θ:
| Position (°2θ) | d (Å) | I/Imax | hkl |
| --- | --- | --- | --- |
| 25.2 | 3.529 | 460 | 1 1 1 |
| 29.2 | 3.057 | 12 | 2 0 0 |
| 41.8 | 2.161 | 1000 | 2 2 0 |
| 49.4 | 1.843 | 236 | 3 1 1 |
| 60.6 | 1.528 | 167 | 4 0 0 |
| 66.7 | 1.402 | 99 | 3 3 1 |
| 76.3 | 1.248 | 339 | 4 2 2 |
| 81.9 | 1.176 | 77 | 5 1 1 |


Calculated powder X-ray diffraction pattern
Compound: SrAl5CoPd
Radiation: λ = 1.5418 Å (Cu Kα)
Structure: the GGA-PBE geometry in OQMD
Peak positions follow from Bragg's law for the DFT cell and can differ from measured ones.

Structural model:
```
data_SrAl5CoPd
_chemical_formula_sum 'Sr2 Al10 Co2 Pd2'
_space_group_name_H-M_alt 'I m m 2'
_space_group_IT_number 44
_cell_length_a 4.0431
_cell_length_b 7.2723
_cell_length_c 9.9729
_cell_angle_alpha 90.00
_cell_angle_beta 90.00
_cell_angle_gamma 90.00
loop_
_space_group_symop_operation_xyz
'x,y,z'
'-x,-y,z'
'-x,y,z'
'x,-y,z'
'x+1/2,y+1/2,z+1/2'
'-x+1/2,-y+1/2,z+1/2'
'-x+1/2,y+1/2,z+1/2'
'x+1/2,-y+1/2,z+1/2'
loop_
_atom_site_label
_atom_site_fract_x
_atom_site_fract_y
_atom_site_fract_z
_atom_site_occupancy
Sr1 0.0000 0.0000 0.0000 1
Al1 0.0000 0.1806 0.3359 1
Al2 0.0000 0.1997 0.6563 1
Al3 0.0000 0.5000 0.9922 1
Co1 0.0000 0.5000 0.7652 1
Pd1 0.0000 0.5000 0.2344 1
```

Principal peaks in the range 2θ from 10° to 90°, in order of rising 2θ:
| Position (°2θ) | d (Å) | I/Imax | hkl |
| --- | --- | --- | --- |
| 17.8 | 4.986 | 228 | 0 0 2 |
| 24.5 | 3.636 | 437 | 0 2 0 |
| 29.5 | 3.023 | 311 | 0 1 3 |
| 31.0 | 2.883 | 1000 | 1 1 2 |
| 34.4 | 2.609 | 556 | 1 2 1 |
| 34.9 | 2.568 | 268 | 1 0 3 |
| 44.0 | 2.056 | 435 | 0 2 4 |
| 44.8 | 2.022 | 305 | 2 0 0 |
| 47.4 | 1.919 | 488 | 1 3 2 |
| 64.7 | 1.442 | 269 | 2 2 4 |


Calculated powder X-ray diffraction pattern
Compound: PrAl8Co2
Radiation: λ = 1.5418 Å (Cu Kα)
Structure: the GGA-PBE geometry in OQMD
Peak positions follow from Bragg's law for the DFT cell and can differ from measured ones.

Structural model:
```
data_PrAl8Co2
_chemical_formula_sum 'Pr4 Al32 Co8'
_space_group_name_H-M_alt 'P b a m'
_space_group_IT_number 55
_cell_length_a 12.4880
_cell_length_b 14.3898
_cell_length_c 4.0078
_cell_angle_alpha 90.00
_cell_angle_beta 90.00
_cell_angle_gamma 90.00
loop_
_space_group_symop_operation_xyz
'x,y,z'
'-x,-y,-z'
'-x,-y,z'
'x,y,-z'
'x+1/2,-y+1/2,-z'
'-x+1/2,y+1/2,z'
'-x+1/2,y+1/2,-z'
'x+1/2,-y+1/2,z'
loop_
_atom_site_label
_atom_site_fract_x
_atom_site_fract_y
_atom_site_fract_z
_atom_site_occupancy
Pr1 0.1597 0.1816 0.0000 1
Al1 0.0000 0.0000 0.0000 1
Al2 0.0000 0.5000 0.5000 1
Al3 0.0261 0.8682 0.5000 1
Al4 0.0470 0.3209 0.5000 1
Al5 0.0961 0.7474 0.0000 1
Al6 0.1590 0.6203 0.5000 1
Al7 0.1596 0.4556 0.0000 1
Al8 0.1690 0.0081 0.5000 1
Al9 0.2362 0.8281 0.5000 1
Co1 0.0346 0.5944 0.0000 1
Co2 0.1521 0.9039 0.0000 1
```

Principal peaks in the range 2θ from 10° to 90°, in order of rising 2θ:
| Position (°2θ) | d (Å) | I/Imax | hkl |
| --- | --- | --- | --- |
| 22.2 | 4.003 | 978 | 0 0 1 |
| 23.4 | 3.804 | 259 | 2 3 0 |
| 25.8 | 3.457 | 315 | 1 4 0 |
| 28.4 | 3.144 | 309 | 3 3 0 |
| 34.3 | 2.617 | 875 | 1 4 1 |
| 36.3 | 2.474 | 1000 | 3 3 1 |
| 37.0 | 2.428 | 399 | 4 1 1 |
| 44.1 | 2.052 | 380 | 5 4 0 |
| 45.3 | 2.004 | 518 | 0 0 2 |
| 46.5 | 1.953 | 407 | 2 7 0 |


Calculated powder X-ray diffraction pattern
Compound: Pr2Al19Co6
Radiation: λ = 1.5418 Å (Cu Kα)
Structure: the GGA-PBE geometry in OQMD
Peak positions follow from Bragg's law for the DFT cell and can differ from measured ones.

Structural model:
```
data_Pr2Al19Co6
_chemical_formula_sum 'Pr8 Al76 Co24'
_space_group_name_H-M_alt 'C 1 2/m 1'
_space_group_IT_number 12
_cell_length_a 17.6223
_cell_length_b 12.1031
_cell_length_c 8.2279
_cell_angle_alpha 90.00
_cell_angle_beta 103.97
_cell_angle_gamma 90.00
loop_
_space_group_symop_operation_xyz
'x,y,z'
'-x,-y,-z'
'-x,y,-z'
'x,-y,z'
'x+1/2,y+1/2,z'
'-x+1/2,-y+1/2,-z'
'-x+1/2,y+1/2,-z'
'x+1/2,-y+1/2,z'
loop_
_atom_site_label
_atom_site_fract_x
_atom_site_fract_y
_atom_site_fract_z
_atom_site_occupancy
Pr1 0.2201 0.0000 0.2270 1
Pr2 0.2212 0.0000 0.7442 1
Al1 0.0000 0.3302 0.0000 1
Al2 0.0258 0.3260 0.3617 1
Al3 0.0519 0.1173 0.1548 1
Al4 0.0537 0.1163 0.6480 1
Al5 0.0805 0.5000 0.6451 1
Al6 0.0862 0.5000 0.1842 1
Al7 0.1360 0.1756 0.9431 1
Al8 0.1469 0.1677 0.4478 1
Al9 0.1605 0.3875 0.9503 1
Al10 0.1800 0.3831 0.4650 1
Al11 0.2477 0.2506 0.7626 1
Co1 0.0613 0.0000 0.4054 1
Co2 0.0615 0.0000 0.9059 1
Co3 0.1154 0.3015 0.6701 1
Co4 0.1202 0.3003 0.1886 1
```

Principal peaks in the range 2θ from 10° to 90°, in order of rising 2θ:
| Position (°2θ) | d (Å) | I/Imax | hkl |
| --- | --- | --- | --- |
| 22.2 | 4.001 | 1000 | 2 0 -2 |
| 22.6 | 3.927 | 582 | 1 3 0 |
| 25.5 | 3.492 | 782 | 4 2 0 |
| 30.5 | 2.930 | 534 | 4 2 -2 |
| 30.7 | 2.913 | 537 | 2 2 2 |
| 37.2 | 2.415 | 542 | 2 4 -2 |
| 37.3 | 2.411 | 505 | 0 4 2 |
| 37.6 | 2.395 | 879 | 7 1 0 |
| 44.0 | 2.057 | 897 | 2 0 -4 |
| 44.7 | 2.027 | 635 | 3 5 -2 |


Calculated powder X-ray diffraction pattern
Compound: Ta2AlCo2Sb
Radiation: λ = 1.5418 Å (Cu Kα)
Structure: the GGA-PBE geometry in OQMD
Peak positions follow from Bragg's law for the DFT cell and can differ from measured ones.

Structural model:
```
data_Ta2AlCo2Sb
_chemical_formula_sum 'Ta8 Al4 Co8 Sb4'
_space_group_name_H-M_alt 'I -4 2 d'
_space_group_IT_number 122
_space_group_name_Hall 'I -4 2bw'
_cell_length_a 5.8518
_cell_length_b 5.8518
_cell_length_c 11.6865
_cell_angle_alpha 90.00
_cell_angle_beta 90.00
_cell_angle_gamma 90.00
loop_
_atom_site_label
_atom_site_fract_x
_atom_site_fract_y
_atom_site_fract_z
_atom_site_occupancy
Ta1 0.0000 0.0000 0.2432 1
Al1 0.0000 0.0000 0.0000 1
Co1 0.2466 0.2500 0.1250 1
Sb1 0.0000 0.0000 0.5000 1
```

Principal peaks in the range 2θ from 10° to 90°, in order of rising 2θ:
| Position (°2θ) | d (Å) | I/Imax | hkl |
| --- | --- | --- | --- |
| 26.4 | 3.377 | 385 | 1 1 2 |
| 27.5 | 3.243 | 59 | 1 0 3 |
| 30.6 | 2.924 | 488 | 2 0 0 |
| 43.8 | 2.068 | 1000 | 2 2 0 |
| 51.8 | 1.764 | 181 | 3 1 2 |
| 54.3 | 1.688 | 131 | 2 2 4 |
| 63.6 | 1.463 | 109 | 4 0 0 |
| 70.1 | 1.342 | 71 | 3 3 2 |
| 72.2 | 1.308 | 170 | 4 2 0 |
| 80.4 | 1.194 | 323 | 4 2 4 |


Calculated powder X-ray diffraction pattern
Compound: Sm2AlCo2
Radiation: λ = 1.5418 Å (Cu Kα)
Structure: the GGA-PBE geometry in OQMD
Peak positions follow from Bragg's law for the DFT cell and can differ from measured ones.

Structural model:
```
data_Sm2AlCo2
_chemical_formula_sum 'Sm8 Al4 Co8'
_space_group_name_H-M_alt 'C 1 2/c 1'
_space_group_IT_number 15
_cell_length_a 9.4855
_cell_length_b 5.5132
_cell_length_c 7.5912
_cell_angle_alpha 90.00
_cell_angle_beta 103.75
_cell_angle_gamma 90.00
loop_
_space_group_symop_operation_xyz
'x,y,z'
'-x,-y,-z'
'-x,y,-z+1/2'
'x,-y,z+1/2'
'x+1/2,y+1/2,z'
'-x+1/2,-y+1/2,-z'
'-x+1/2,y+1/2,-z+1/2'
'x+1/2,-y+1/2,z+1/2'
loop_
_atom_site_label
_atom_site_fract_x
_atom_site_fract_y
_atom_site_fract_z
_atom_site_occupancy
Sm1 0.1458 0.1455 0.1459 1
Al1 0.0000 0.3797 0.7500 1
Co1 0.1429 0.3561 0.5054 1
```

Principal peaks in the range 2θ from 10° to 90°, in order of rising 2θ:
| Position (°2θ) | d (Å) | I/Imax | hkl |
| --- | --- | --- | --- |
| 23.5 | 3.778 | 397 | 1 1 1 |
| 27.2 | 3.284 | 525 | 2 0 -2 |
| 32.6 | 2.751 | 442 | 1 1 2 |
| 33.1 | 2.708 | 405 | 3 1 -1 |
| 34.6 | 2.594 | 457 | 2 0 2 |
| 34.7 | 2.582 | 592 | 0 2 1 |
| 38.5 | 2.337 | 676 | 2 2 -1 |
| 39.2 | 2.301 | 1000 | 4 0 0 |
| 41.5 | 2.176 | 342 | 2 2 1 |
| 55.7 | 1.651 | 340 | 4 2 1 |


Calculated powder X-ray diffraction pattern
Compound: TaAlCo2
Radiation: λ = 1.5418 Å (Cu Kα)
Structure: the GGA-PBE geometry in OQMD
Peak positions follow from Bragg's law for the DFT cell and can differ from measured ones.

Structural model:
```
data_TaAlCo2
_chemical_formula_sum 'Ta2 Al2 Co4'
_space_group_name_H-M_alt 'C m m m'
_space_group_IT_number 65
_space_group_name_Hall '-C 2 2'
_cell_length_a 5.8903
_cell_length_b 6.0811
_cell_length_c 2.9122
_cell_angle_alpha 90.00
_cell_angle_beta 90.00
_cell_angle_gamma 90.00
loop_
_atom_site_label
_atom_site_fract_x
_atom_site_fract_y
_atom_site_fract_z
_atom_site_occupancy
Ta1 0.0000 0.0000 0.0000 1
Al1 0.0000 0.5000 0.0000 1
Co1 0.2500 0.2500 0.5000 1
```

Principal peaks in the range 2θ from 10° to 90°, in order of rising 2θ:
| Position (°2θ) | d (Å) | I/Imax | hkl |
| --- | --- | --- | --- |
| 21.0 | 4.231 | 1000 | 1 1 0 |
| 37.5 | 2.399 | 472 | 1 1 1 |
| 42.7 | 2.115 | 768 | 2 2 0 |
| 43.0 | 2.103 | 754 | 0 2 1 |
| 43.7 | 2.071 | 719 | 2 0 1 |
| 57.6 | 1.601 | 139 | 1 3 1 |
| 58.7 | 1.573 | 131 | 3 1 1 |
| 78.0 | 1.225 | 251 | 2 4 1 |
| 79.4 | 1.206 | 239 | 4 2 1 |
| 80.0 | 1.199 | 234 | 2 2 2 |


Calculated powder X-ray diffraction pattern
Compound: TbAl2Co
Radiation: λ = 1.5418 Å (Cu Kα)
Structure: the GGA-PBE geometry in OQMD
Peak positions follow from Bragg's law for the DFT cell and can differ from measured ones.

Structural model:
```
data_TbAl2Co
_chemical_formula_sum 'Tb4 Al8 Co4'
_space_group_name_H-M_alt 'C m m m'
_space_group_IT_number 65
_space_group_name_Hall '-C 2 2'
_cell_length_a 4.1813
_cell_length_b 18.2013
_cell_length_c 3.8589
_cell_angle_alpha 90.00
_cell_angle_beta 90.00
_cell_angle_gamma 90.00
loop_
_atom_site_label
_atom_site_fract_x
_atom_site_fract_y
_atom_site_fract_z
_atom_site_occupancy
Tb1 0.0000 0.1400 0.0000 1
Al1 0.0000 0.0000 0.5000 1
Al2 0.0000 0.2916 0.5000 1
Al3 0.0000 0.5000 0.0000 1
Co1 0.0000 0.4246 0.5000 1
```

Principal peaks in the range 2θ from 10° to 90°, in order of rising 2θ:
| Position (°2θ) | d (Å) | I/Imax | hkl |
| --- | --- | --- | --- |
| 19.5 | 4.550 | 536 | 0 4 0 |
| 25.9 | 3.443 | 580 | 1 3 0 |
| 30.4 | 2.943 | 464 | 0 4 1 |
| 31.9 | 2.802 | 765 | 1 1 1 |
| 34.9 | 2.569 | 1000 | 1 3 1 |
| 37.7 | 2.385 | 274 | 0 6 1 |
| 40.9 | 2.208 | 626 | 1 7 0 |
| 43.3 | 2.091 | 334 | 2 0 0 |
| 64.1 | 1.453 | 322 | 1 7 2 |
| 65.3 | 1.430 | 295 | 2 8 1 |


Calculated powder X-ray diffraction pattern
Compound: Y2AlCo
Radiation: λ = 1.5418 Å (Cu Kα)
Structure: the GGA-PBE geometry in OQMD
Peak positions follow from Bragg's law for the DFT cell and can differ from measured ones.

Structural model:
```
data_Y2AlCo
_chemical_formula_sum 'Y8 Al4 Co4'
_space_group_name_H-M_alt 'F -4 3 m'
_space_group_IT_number 216
_space_group_name_Hall 'F -4 2 3'
_cell_length_a 6.8154
_cell_length_b 6.8154
_cell_length_c 6.8154
_cell_angle_alpha 90.00
_cell_angle_beta 90.00
_cell_angle_gamma 90.00
loop_
_atom_site_label
_atom_site_fract_x
_atom_site_fract_y
_atom_site_fract_z
_atom_site_occupancy
Y1 0.0000 0.0000 0.0000 1
Y2 0.2500 0.2500 0.2500 1
Al1 0.0000 0.0000 0.5000 1
Co1 0.2500 0.2500 0.7500 1
```

Principal peaks in the range 2θ from 10° to 90°, in order of rising 2θ:
| Position (°2θ) | d (Å) | I/Imax | hkl |
| --- | --- | --- | --- |
| 22.6 | 3.935 | 165 | 1 1 1 |
| 26.2 | 3.408 | 22 | 2 0 0 |
| 37.3 | 2.410 | 1000 | 2 2 0 |
| 44.1 | 2.055 | 82 | 3 1 1 |
| 53.8 | 1.704 | 167 | 4 0 0 |
| 59.1 | 1.564 | 34 | 3 3 1 |
| 67.3 | 1.391 | 330 | 4 2 2 |
| 72.0 | 1.312 | 25 | 5 1 1 |
| 79.6 | 1.205 | 101 | 4 4 0 |
| 84.0 | 1.152 | 25 | 5 3 1 |


Calculated powder X-ray diffraction pattern
Compound: Y2Al2Co15
Radiation: λ = 1.5418 Å (Cu Kα)
Structure: the GGA-PBE geometry in OQMD
Peak positions follow from Bragg's law for the DFT cell and can differ from measured ones.

Structural model:
```
data_Y2Al2Co15
_chemical_formula_sum 'Y4 Al4 Co30'
_space_group_name_H-M_alt 'P 63/m m c'
_space_group_IT_number 194
_space_group_name_Hall '-P 6c 2c'
_cell_length_a 8.2761
_cell_length_b 8.2761
_cell_length_c 8.1938
_cell_angle_alpha 90.00
_cell_angle_beta 90.00
_cell_angle_gamma 120.00
loop_
_atom_site_label
_atom_site_fract_x
_atom_site_fract_y
_atom_site_fract_z
_atom_site_occupancy
Y1 0.0000 0.0000 0.2500 1
Y2 0.3333 0.6667 0.2500 1
Al1 0.3333 0.6667 0.5968 1
Co1 0.0000 0.5000 0.0000 1
Co2 0.0487 0.3765 0.7500 1
Co3 0.1638 0.3276 0.0260 1
```

Principal peaks in the range 2θ from 10° to 90°, in order of rising 2θ:
| Position (°2θ) | d (Å) | I/Imax | hkl |
| --- | --- | --- | --- |
| 30.7 | 2.911 | 211 | 1 1 2 |
| 37.7 | 2.389 | 221 | 3 0 0 |
| 41.6 | 2.172 | 405 | 2 0 3 |
| 43.8 | 2.069 | 535 | 2 2 0 |
| 43.9 | 2.064 | 1000 | 3 0 2 |
| 44.2 | 2.048 | 410 | 0 0 4 |
| 49.3 | 1.847 | 476 | 2 2 2 |
| 64.0 | 1.456 | 172 | 2 2 4 |
| 80.4 | 1.195 | 145 | 6 0 0 |
| 81.1 | 1.186 | 156 | 3 0 6 |